For CeTlIn2, a DFT-relaxed cell (GGA-PBE, Alexandria) gives the simulated X-ray diffraction stick pattern in this record (a wavelength of 1.5418 Å).
Lines closer than 0.1° are merged.

Structure:
Cell: 4.7423 4.7423 4.7601 Å, 90.00 90.00 90.00°
Atoms (fractional coordinates):
Ce  0.0000  0.0000  0.0000
Tl  0.5000  0.5000  0.0000
In  0.0000  0.5000  0.5000
In  0.5000  0.0000  0.5000

Peak list (10 most intense, 15 to 90 degrees two-theta, sorted by position)
| d_spacing | I (rel.) | index |
| --- | --- | --- |
| 4.753 | 5 | 0 0 1 |
| 3.356 | 5 | 1 1 0 |
| 2.741 | 100 | 1 1 1 |
| 2.380 | 17 | 0 0 2 |
| 2.371 | 33 | 2 0 0 |
| 1.680 | 23 | 2 0 2 |
| 1.677 | 11 | 2 2 0 |
| 1.434 | 14 | 1 1 3 |
| 1.430 | 27 | 3 1 1 |
| 1.371 | 12 | 2 2 2 |